No. 1
Starting from a DFT-relaxed cell (GGA-PBE, Alexandria), the XRD peak list of BaPr2Cd2 was computed for Cu Kα (λ = 1.5418 Å).
Kinematic intensities with the Lorentz-polarization factor, no thermal factor.

Atomic structure:
a = 4.070 Å, b = 21.800 Å, c = 3.940 Å
α = 90.00°, β = 90.00°, γ = 90.00°
Space group Cmmm (No. 65)
One atom of each set of equivalent atoms:
Ba 0.000 0.000 0.000 (multiplicity 2)
Pr 0.000 0.183 0.000 (multiplicity 4)
Cd 0.000 0.393 0.500 (multiplicity 4)

Most intense lines, 2θ from 10° to 80°, sorted by position:
Position (°2θ)  I/Imax
27.9  32
30.0  100
31.9  86
33.5  52
34.0  23
56.0  34
56.7  23
56.9  23



No. 2
Starting from a DFT-relaxed cell (GGA-PBE, Alexandria), the XRD peak list of AcNd2Ag was computed for Cu Kα (λ = 1.5418 Å).
Kinematic intensities with the Lorentz-polarization factor, no thermal factor.

Atomic structure:
a = 3.8374 Å, b = 3.8374 Å, c = 32.4824 Å
α = 90.00°, β = 90.00°, γ = 120.00°
Space group R3m (No. 160, hexagonal axes)
One atom of each set of equivalent atoms:
Ac 0.0000 0.0000 0.0000 (multiplicity 3)
Nd 0.0000 0.0000 0.5697 (multiplicity 3)
Nd 0.0000 0.0000 0.7642 (multiplicity 3)
Ag 0.0000 0.0000 0.1669 (multiplicity 3)

Most intense lines, 2θ from 10° to 80°, sorted by position:
Position (°2θ)  I/Imax
24.7  18
27.4  20
29.0  31
30.2  100
33.1  60
38.8  21
47.4  37
59.0  31



What did the first record say?
Starting from a DFT-relaxed cell (GGA-PBE, Alexandria), the XRD peak list of BaPr2Cd2 was computed for Cu Kα (λ = 1.5418 Å).
Kinematic intensities with the Lorentz-polarization factor, no thermal factor.

Atomic structure:
a = 4.070 Å, b = 21.800 Å, c = 3.940 Å
α = 90.00°, β = 90.00°, γ = 90.00°
Space group Cmmm (No. 65)
One atom of each set of equivalent atoms:
Ba 0.000 0.000 0.000 (multiplicity 2)
Pr 0.000 0.183 0.000 (multiplicity 4)
Cd 0.000 0.393 0.500 (multiplicity 4)

Most intense lines, 2θ from 10° to 80°, sorted by position:
Position (°2θ)  I/Imax
27.9  32
30.0  100
31.9  86
33.5  52
34.0  23
56.0  34
56.7  23
56.9  23



What did the second record say?
Starting from a DFT-relaxed cell (GGA-PBE, Alexandria), the XRD peak list of AcNd2Ag was computed for Cu Kα (λ = 1.5418 Å).
Kinematic intensities with the Lorentz-polarization factor, no thermal factor.

Atomic structure:
a = 3.8374 Å, b = 3.8374 Å, c = 32.4824 Å
α = 90.00°, β = 90.00°, γ = 120.00°
Space group R3m (No. 160, hexagonal axes)
One atom of each set of equivalent atoms:
Ac 0.0000 0.0000 0.0000 (multiplicity 3)
Nd 0.0000 0.0000 0.5697 (multiplicity 3)
Nd 0.0000 0.0000 0.7642 (multiplicity 3)
Ag 0.0000 0.0000 0.1669 (multiplicity 3)

Most intense lines, 2θ from 10° to 80°, sorted by position:
Position (°2θ)  I/Imax
24.7  18
27.4  20
29.0  31
30.2  100
33.1  60
38.8  21
47.4  37
59.0  31